# 1
Calculated X-ray diffraction stick pattern of HgH16Br6N4 for Cu Kα, 1.54184 Å, from a structure optimized by DFT (GGA-PBE).
Lines closer than 0.1° are merged.

Top 12 peaks for 2θ from 10° to 80°, in order of rising 2θ:
| 2theta | d/Å | I (rel.) | index |
| --- | --- | --- | --- |
| 13.74 | 6.446 | 56 | 1 1 0 |
| 13.99 | 6.330 | 76 | 1 0 1 |
| 19.47 | 4.558 | 26 | 2 0 0 |
| 21.80 | 4.077 | 25 | 2 1 0 |
| 27.68 | 3.223 | 30 | 2 2 0 |
| 29.88 | 2.990 | 59 | 2 1 2 |
| 31.02 | 2.883 | 100 | 3 1 0 |
| 32.06 | 2.791 | 38 | 1 0 3 |
| 37.79 | 2.381 | 24 | 2 1 3 |
| 44.44 | 2.039 | 26 | 4 2 0 |
| 47.48 | 1.915 | 29 | 3 2 3 |
| 52.32 | 1.749 | 30 | 3 1 4 |

Atomic structure:
```
data_HgH16Br6N4
_cell_length_a 9.1167
_cell_length_b 9.1167
_cell_length_c 8.7969
_cell_angle_alpha 90.00
_cell_angle_beta 90.00
_cell_angle_gamma 90.00
_symmetry_space_group_name_H-M 'P 4/m n c'
_symmetry_Int_Tables_number 128
_symmetry_space_group_name_Hall '-P 4 2n'
loop_
_atom_site_label
_atom_site_type_symbol
_atom_site_fract_x
_atom_site_fract_y
_atom_site_fract_z
_atom_site_occupancy
Hg1 Hg 0.0000 0.0000 0.0000 1
H1 H 0.0553 0.3542 0.1767 1
H2 H 0.1449 0.2586 0.3134 1
Br1 Br 0.0000 0.0000 0.2942 1
Br2 Br 0.1287 0.6782 0.0000 1
N1 N 0.1460 0.3540 0.2500 1
```

=====

# 2
Calculated X-ray diffraction stick pattern of HgH16Br6N4 for Cu Kα, 1.54184 Å, from a structure optimized by DFT (GGA-PBE).
Lines closer than 0.1° are merged.

Top 12 peaks for 2θ from 10° to 80°, in order of rising 2θ:
| 2theta | d/Å | I (rel.) | index |
| --- | --- | --- | --- |
| 13.83 | 6.401 | 45 | 0 1 1 |
| 13.98 | 6.335 | 100 | 1 1 -1 |
| 19.71 | 4.505 | 24 | 0 0 2 |
| 28.12 | 3.174 | 29 | 2 2 -2 |
| 29.68 | 3.010 | 32 | 1 2 -3 |
| 31.17 | 2.869 | 58 | 1 3 -1 |
| 31.39 | 2.850 | 34 | 0 1 3 |
| 31.86 | 2.809 | 56 | 3 1 -3 |
| 37.29 | 2.411 | 22 | 1 2 -4 |
| 37.67 | 2.388 | 16 | 3 2 -2 |
| 40.03 | 2.252 | 18 | 0 0 4 |
| 52.04 | 1.757 | 17 | 3 1 -7 |

Atomic structure:
```
data_HgH16Br6N4
_cell_length_a 8.8610
_cell_length_b 9.0961
_cell_length_c 12.6256
_cell_angle_alpha 90.00
_cell_angle_beta 134.48
_cell_angle_gamma 90.00
_symmetry_space_group_name_H-M 'P 1 21/c 1'
_symmetry_Int_Tables_number 14
_symmetry_space_group_name_Hall '-P 2ybc'
loop_
_atom_site_label
_atom_site_type_symbol
_atom_site_fract_x
_atom_site_fract_y
_atom_site_fract_z
_atom_site_occupancy
Hg1 Hg 0.0000 0.0000 0.0000 1
H1 H 0.0529 0.1106 0.3077 1
H2 H 0.1111 0.6509 0.1689 1
H3 H 0.1188 0.7486 0.7860 1
H4 H 0.2058 0.5755 0.3324 1
H5 H 0.2323 0.1469 0.6742 1
H6 H 0.4415 0.1364 0.6923 1
H7 H 0.4492 0.2476 0.2997 1
H8 H 0.4707 0.0681 0.8299 1
Br1 Br 0.1261 0.6802 0.9972 1
Br2 Br 0.2935 0.5013 0.7942 1
Br3 Br 0.3203 0.1181 0.0008 1
N1 N 0.0964 0.6471 0.2444 1
N2 N 0.3972 0.1504 0.7488 1
```

=====

# 3
Calculated X-ray diffraction stick pattern of HgH16Br6N4 for Cu Kα, 1.54184 Å, from a structure optimized by DFT (GGA-PBE).
Lines closer than 0.1° are merged.

Top 12 peaks for 2θ from 10° to 80°, in order of rising 2θ:
| 2theta | d/Å | I (rel.) | index |
| --- | --- | --- | --- |
| 13.79 | 6.422 | 97 | 1 1 0 |
| 13.90 | 6.369 | 70 | 0 1 1 |
| 14.04 | 6.308 | 68 | 1 0 1 |
| 20.07 | 4.425 | 38 | 0 0 2 |
| 27.78 | 3.211 | 51 | 2 2 0 |
| 29.76 | 3.002 | 54 | 1 2 2 |
| 29.96 | 2.983 | 50 | 2 1 2 |
| 30.90 | 2.894 | 100 | 1 3 0 |
| 31.39 | 2.850 | 87 | 3 1 0 |
| 31.90 | 2.806 | 69 | 1 0 3 |
| 37.58 | 2.393 | 34 | 1 2 3 |
| 52.06 | 1.757 | 45 | 1 3 4 |

Atomic structure:
```
data_HgH16Br6N4
_cell_length_a 8.9939
_cell_length_b 9.1726
_cell_length_c 8.8499
_cell_angle_alpha 90.00
_cell_angle_beta 90.00
_cell_angle_gamma 90.00
_symmetry_space_group_name_H-M 'P n n m'
_symmetry_Int_Tables_number 58
_symmetry_space_group_name_Hall '-P 2 2n'
loop_
_atom_site_label
_atom_site_type_symbol
_atom_site_fract_x
_atom_site_fract_y
_atom_site_fract_z
_atom_site_occupancy
Hg1 Hg 0.0000 0.0000 0.0000 1
H1 H 0.0622 0.3350 0.1824 1
H2 H 0.1304 0.4328 0.3345 1
H3 H 0.1906 0.2611 0.3035 1
H4 H 0.2413 0.3961 0.1872 1
Br1 Br 0.0000 0.0000 0.2941 1
Br2 Br 0.1265 0.6770 0.0000 1
Br3 Br 0.1783 0.6244 0.5000 1
N1 N 0.1542 0.3556 0.2510 1
```

=====

# 4
Calculated X-ray diffraction stick pattern of Nd2H2I3Br for Cu Kα, 1.54184 Å, from a structure optimized by DFT (GGA-PBE).
Lines closer than 0.1° are merged.

Top 12 peaks for 2θ from 10° to 80°, in order of rising 2θ:
| 2theta | d/Å | I (rel.) | index |
| --- | --- | --- | --- |
| 11.18 | 7.916 | 47 | 0 0 2 |
| 25.69 | 3.468 | 50 | 1 0 1 |
| 27.51 | 3.242 | 60 | 1 0 2 |
| 30.32 | 2.948 | 50 | 0 1 3 |
| 33.91 | 2.644 | 100 | 0 1 4 |
| 44.13 | 2.052 | 46 | 1 1 0 |
| 45.85 | 1.979 | 12 | 0 0 8 |
| 47.66 | 1.908 | 17 | 1 0 7 |
| 52.80 | 1.734 | 10 | 0 2 2 |
| 56.81 | 1.621 | 35 | 2 0 4 |
| 65.53 | 1.424 | 24 | 1 1 8 |
| 74.61 | 1.272 | 18 | 1 2 4 |

Atomic structure:
```
data_Nd2H2I3Br
_cell_length_a 4.1039
_cell_length_b 4.1039
_cell_length_c 15.8328
_cell_angle_alpha 90.00
_cell_angle_beta 90.00
_cell_angle_gamma 120.00
_symmetry_space_group_name_H-M 'P 3 m 1'
_symmetry_Int_Tables_number 156
_symmetry_space_group_name_Hall 'P 3 -2"'
loop_
_atom_site_label
_atom_site_type_symbol
_atom_site_fract_x
_atom_site_fract_y
_atom_site_fract_z
_atom_site_occupancy
Nd1 Nd 0.0000 0.0000 0.0000 1
Nd2 Nd 0.0000 0.0000 0.4941 1
H1 H 0.3333 0.6667 0.4979 1
H2 H 0.6667 0.3333 0.9996 1
I1 I 0.3333 0.6667 0.1374 1
I2 I 0.3333 0.6667 0.8625 1
I3 I 0.6667 0.3333 0.6319 1
Br1 Br 0.6667 0.3333 0.3736 1
```

=====

# 5
Calculated X-ray diffraction stick pattern of Tm2H2IBrO2 for Cu Kα, 1.54184 Å, from a structure optimized by DFT (GGA-PBE).
Lines closer than 0.1° are merged.

Top 12 peaks for 2θ from 10° to 80°, in order of rising 2θ:
| 2theta | d/Å | I (rel.) | index |
| --- | --- | --- | --- |
| 16.75 | 5.294 | 28 | 0 0 2 |
| 26.31 | 3.387 | 33 | 1 0 0 |
| 27.65 | 3.226 | 87 | 1 0 1 |
| 33.86 | 2.647 | 21 | 0 0 4 |
| 36.78 | 2.444 | 100 | 0 1 3 |
| 46.44 | 1.956 | 42 | 1 1 0 |
| 54.90 | 1.672 | 13 | 0 2 1 |
| 58.70 | 1.573 | 25 | 1 1 4 |
| 60.65 | 1.527 | 23 | 2 0 3 |
| 67.86 | 1.381 | 15 | 0 1 7 |
| 72.09 | 1.310 | 13 | 1 1 6 |
| 79.67 | 1.203 | 21 | 1 2 3 |

Atomic structure:
```
data_Tm2H2IBrO2
_cell_length_a 3.9110
_cell_length_b 3.9110
_cell_length_c 10.5880
_cell_angle_alpha 90.00
_cell_angle_beta 90.00
_cell_angle_gamma 120.00
_symmetry_space_group_name_H-M 'P 3 m 1'
_symmetry_Int_Tables_number 156
_symmetry_space_group_name_Hall 'P 3 -2"'
loop_
_atom_site_label
_atom_site_type_symbol
_atom_site_fract_x
_atom_site_fract_y
_atom_site_fract_z
_atom_site_occupancy
Tm1 Tm 0.0000 0.0000 0.0000 1
Tm2 Tm 0.3333 0.6667 0.4856 1
H1 H 0.6667 0.3333 0.3346 1
H2 H 0.6667 0.3333 0.8634 1
I1 I 0.0000 0.0000 0.6914 1
Br1 Br 0.3333 0.6667 0.1876 1
O1 O 0.6667 0.3333 0.4273 1
O2 O 0.6667 0.3333 0.9562 1
```

=====

# 6
Calculated X-ray diffraction stick pattern of KZnH4Br3O2 for Cu Kα, 1.54184 Å, from a structure optimized by DFT (GGA-PBE).
Lines closer than 0.1° are merged.

Top 12 peaks for 2θ from 10° to 80°, in order of rising 2θ:
| 2theta | d/Å | I (rel.) | index |
| --- | --- | --- | --- |
| 14.99 | 5.909 | 25 | 1 0 0 |
| 25.36 | 3.512 | 26 | 1 2 1 |
| 27.82 | 3.207 | 92 | 1 3 -2 |
| 28.10 | 3.176 | 97 | 0 1 3 |
| 28.19 | 3.166 | 100 | 2 1 -1 |
| 28.96 | 3.083 | 48 | 0 4 0 |
| 34.99 | 2.565 | 42 | 2 3 -1 |
| 35.03 | 2.562 | 25 | 2 0 -4 |
| 42.30 | 2.137 | 37 | 2 0 2 |
| 43.68 | 2.072 | 26 | 1 2 -5 |
| 43.80 | 2.067 | 27 | 3 2 -3 |
| 46.04 | 1.972 | 52 | 0 5 3 |

Atomic structure:
```
data_KZnH4Br3O2
_cell_length_a 6.6610
_cell_length_b 12.3340
_cell_length_c 11.1149
_cell_angle_alpha 90.00
_cell_angle_beta 117.48
_cell_angle_gamma 90.00
_symmetry_space_group_name_H-M 'P 1 21/c 1'
_symmetry_Int_Tables_number 14
_symmetry_space_group_name_Hall '-P 2ybc'
loop_
_atom_site_label
_atom_site_type_symbol
_atom_site_fract_x
_atom_site_fract_y
_atom_site_fract_z
_atom_site_occupancy
K1 K 0.2204 0.1660 0.4921 1
Zn1 Zn 0.4976 0.0744 0.2375 1
H1 H 0.9997 0.1368 0.7841 1
H2 H 0.1550 0.6362 0.6452 1
H3 H 0.2796 0.7391 0.2994 1
H4 H 0.3846 0.6627 0.4334 1
Br1 Br 0.1033 0.1028 0.1644 1
Br2 Br 0.2739 0.6017 0.0233 1
Br3 Br 0.4237 0.1014 0.8284 1
O1 O 0.0847 0.6847 0.6848 1
O2 O 0.4124 0.6915 0.3598 1
```

=====

# 7
Calculated X-ray diffraction stick pattern of NdNpH2Br4 for Cu Kα, 1.54184 Å, from a structure optimized by DFT (GGA-PBE).
Lines closer than 0.1° are merged.

Top 12 peaks for 2θ from 10° to 80°, in order of rising 2θ:
| 2theta | d/Å | I (rel.) | index |
| --- | --- | --- | --- |
| 11.95 | 7.407 | 95 | 0 0 2 |
| 26.76 | 3.331 | 32 | 1 0 1 |
| 28.76 | 3.104 | 93 | 1 0 2 |
| 31.83 | 2.811 | 28 | 1 0 3 |
| 35.74 | 2.512 | 100 | 1 0 4 |
| 45.30 | 2.002 | 20 | 1 0 6 |
| 45.98 | 1.974 | 43 | 1 1 0 |
| 47.68 | 1.907 | 19 | 1 1 2 |
| 59.56 | 1.552 | 23 | 2 0 4 |
| 60.00 | 1.542 | 17 | 1 1 6 |
| 69.62 | 1.351 | 23 | 1 1 8 |
| 78.37 | 1.220 | 21 | 2 1 4 |

Atomic structure:
```
data_NdNpH2Br4
_cell_length_a 3.9479
_cell_length_b 3.9479
_cell_length_c 14.8144
_cell_angle_alpha 90.00
_cell_angle_beta 90.00
_cell_angle_gamma 120.00
_symmetry_space_group_name_H-M 'P -6 m 2'
_symmetry_Int_Tables_number 187
_symmetry_space_group_name_Hall 'P -6 2'
loop_
_atom_site_label
_atom_site_type_symbol
_atom_site_fract_x
_atom_site_fract_y
_atom_site_fract_z
_atom_site_occupancy
Nd1 Nd 0.0000 0.0000 0.0000 1
Np1 Np 0.0000 0.0000 0.5000 1
H1 H 0.3333 0.6667 0.5000 1
H2 H 0.6667 0.3333 0.0000 1
Br1 Br 0.3333 0.6667 0.1331 1
Br2 Br 0.6667 0.3333 0.3689 1
```

=====

# 8
Calculated X-ray diffraction stick pattern of SmHBr3 for Cu Kα, 1.54184 Å, from a structure optimized by DFT (GGA-PBE).
Lines closer than 0.1° are merged.

Top 12 peaks for 2θ from 10° to 80°, in order of rising 2θ:
| 2theta | d/Å | I (rel.) | index |
| --- | --- | --- | --- |
| 12.09 | 7.321 | 64 | 1 0 0 |
| 13.48 | 6.569 | 100 | 0 1 1 |
| 13.99 | 6.328 | 40 | 0 0 2 |
| 15.39 | 5.756 | 23 | 1 0 -2 |
| 16.61 | 5.337 | 26 | 1 1 -1 |
| 29.27 | 3.051 | 29 | 2 1 -3 |
| 29.90 | 2.989 | 29 | 1 1 3 |
| 31.61 | 2.831 | 24 | 1 2 2 |
| 33.58 | 2.669 | 37 | 2 2 -2 |
| 33.82 | 2.651 | 25 | 2 2 0 |
| 39.72 | 2.269 | 24 | 2 2 2 |
| 47.31 | 1.921 | 46 | 0 4 0 |

Atomic structure:
```
data_SmHBr3
_cell_length_a 7.7048
_cell_length_b 7.6855
_cell_length_c 13.3193
_cell_angle_alpha 90.00
_cell_angle_beta 108.15
_cell_angle_gamma 90.00
_symmetry_space_group_name_H-M 'P 1 2/c 1'
_symmetry_Int_Tables_number 13
_symmetry_space_group_name_Hall '-P 2yc'
loop_
_atom_site_label
_atom_site_type_symbol
_atom_site_fract_x
_atom_site_fract_y
_atom_site_fract_z
_atom_site_occupancy
Sm1 Sm 0.0001 0.2500 0.0833 1
H1 H 0.0515 0.2362 0.7589 1
Br1 Br 0.2489 0.0074 0.5507 1
Br2 Br 0.2488 0.2503 0.2950 1
Br3 Br 0.2488 0.4944 0.0406 1
```